PdPt: theoretical XRD peak list (Cu Ka), based on the PBE geometry in the Materials Project.
Peak positions follow from Bragg's law for the DFT cell and can differ from measured ones.

Atomic structure:
```
PdPt
1.0
2.7899 0.0000 0.0000
-1.3950 2.4162 0.0000
0.0000 0.0000 13.7672
Pd Pt
3 3
Direct
0.0000 0.0000 0.0000
0.3333 0.6667 0.6667
0.6667 0.3333 0.3333
0.0000 0.0000 0.5000
0.3333 0.6667 0.1667
0.6667 0.3333 0.8333
```

Largest 6 diffraction maxima, low angle first, 2θ from 10° to 80°:
2θ (°), I (rel.)
19.34, 15
39.26, 34
39.53, 100
45.89, 66
66.73, 21
67.10, 21

---

Dy4MgS7: theoretical XRD peak list (Cu Ka), based on the PBE geometry in the Materials Project.
Peak positions follow from Bragg's law for the DFT cell and can differ from measured ones.

Atomic structure:
```
Dy4MgS7
1.0
6.3090 -1.9069 0.0000
6.3090 1.9069 0.0000
-3.0322 0.0000 11.1120
Dy Mg S
4 1 7
Direct
0.0000 0.0000 0.0000
0.3859 0.3859 0.5970
0.5791 0.5791 0.3637
0.6931 0.6931 0.8015
0.8075 0.8075 0.2176
0.0330 0.0330 0.7445
0.1976 0.1976 0.2932
0.3541 0.3541 0.8465
0.4254 0.4254 0.1486
0.6564 0.6564 0.0197
0.7310 0.7310 0.5808
0.9497 0.9497 0.4362
```

Largest 6 diffraction maxima, low angle first, 2θ from 10° to 80°:
2θ (°), I (rel.)
24.39, 100
24.63, 77
28.26, 76
32.21, 60
33.35, 44
34.66, 53

---

Rb3U3Ge2O13: theoretical XRD peak list (Cu Ka), based on the PBE geometry in the Materials Project.
Peak positions follow from Bragg's law for the DFT cell and can differ from measured ones.

Atomic structure:
```
Rb3U3Ge2O13
1.0
9.9237 0.0000 0.0000
-4.9619 8.5942 0.0000
0.0000 0.0000 8.5255
Rb U Ge O
6 6 4 26
Direct
0.0286 0.6126 0.2500
0.3874 0.4160 0.2500
0.4160 0.3874 0.7500
0.5840 0.9714 0.2500
0.6126 0.0286 0.7500
0.9714 0.5840 0.7500
0.0000 0.2379 0.0000
0.0000 0.2379 0.5000
0.2379 0.0000 0.0000
0.2379 0.0000 0.5000
0.7621 0.7621 0.0000
0.7621 0.7621 0.5000
0.3333 0.6667 0.5429
0.3333 0.6667 0.9571
0.6667 0.3333 0.0429
0.6667 0.3333 0.4571
0.0000 0.8163 0.0000
0.0000 0.8163 0.5000
0.0099 0.2505 0.7500
0.1768 0.4888 0.0208
0.1768 0.4888 0.4792
0.1837 0.1837 0.0000
0.1837 0.1837 0.5000
0.2405 0.9901 0.7500
0.2505 0.0099 0.2500
0.3121 0.8232 0.0208
0.3121 0.8232 0.4792
0.3333 0.6667 0.7500
0.4888 0.1768 0.5208
0.4888 0.1768 0.9792
0.5112 0.6879 0.0208
0.5112 0.6879 0.4792
0.6667 0.3333 0.2500
0.6879 0.5112 0.5208
0.6879 0.5112 0.9792
0.7495 0.7595 0.7500
0.7595 0.7495 0.2500
0.8163 0.0000 0.0000
0.8163 0.0000 0.5000
0.8232 0.3121 0.5208
0.8232 0.3121 0.9792
0.9901 0.2405 0.2500
```

Largest 6 diffraction maxima, low angle first, 2θ from 10° to 80°:
2θ (°), I (rel.)
20.84, 28
27.46, 100
27.59, 72
29.50, 36
34.72, 37
51.27, 35

---

Na3LaTaSi2PO12: theoretical XRD peak list (Cu Ka), based on the PBE geometry in the Materials Project.
Peak positions follow from Bragg's law for the DFT cell and can differ from measured ones.

Atomic structure:
```
Na3LaTaSi2PO12
1.0
8.0271 -4.7261 0.0000
8.0271 4.7261 0.0000
-5.1694 0.0000 7.6520
Na La Ta Si P O
6 2 2 4 2 24
Direct
0.0525 0.9475 0.5000
0.3183 0.8432 0.8976
0.5633 0.7473 0.2976
0.7473 0.5633 0.7976
0.8432 0.3183 0.3976
0.9475 0.0525 0.0000
0.1829 0.6639 0.0348
0.6639 0.1829 0.5348
0.4758 0.9890 0.7534
0.9890 0.4758 0.2534
0.0934 0.2686 0.8540
0.2686 0.0934 0.3540
0.7755 0.8712 0.1249
0.8712 0.7755 0.6249
0.3684 0.6136 0.4621
0.6136 0.3684 0.9621
0.0465 0.7490 0.7877
0.0557 0.3226 0.0415
0.0962 0.4397 0.8583
0.1058 0.2818 0.3513
0.1964 0.5639 0.3919
0.2207 0.9408 0.1737
0.2818 0.1058 0.8513
0.3226 0.0557 0.5415
0.3517 0.7859 0.6235
0.3717 0.6477 0.3199
0.4397 0.0962 0.3583
0.4752 0.5373 0.0224
0.5373 0.4752 0.5224
0.5639 0.1964 0.8919
0.6018 0.8718 0.9412
0.6477 0.3717 0.8199
0.6795 0.8384 0.6634
0.7490 0.0465 0.2877
0.7859 0.3517 0.1235
0.8384 0.6795 0.1634
0.8557 0.9304 0.5825
0.8718 0.6018 0.4412
0.9304 0.8557 0.0825
0.9408 0.2207 0.6737
```

Largest 6 diffraction maxima, low angle first, 2θ from 10° to 80°:
2θ (°), I (rel.)
13.39, 37
18.80, 100
19.06, 46
19.23, 38
30.25, 35
32.87, 65

---

Ca5Ge2N6: theoretical XRD peak list (Cu Ka), based on the PBE geometry in the Materials Project.
Peak positions follow from Bragg's law for the DFT cell and can differ from measured ones.

Atomic structure:
```
Ca5Ge2N6
1.0
5.1428 -3.0118 0.0000
5.1428 3.0118 0.0000
-2.0474 0.0000 12.9483
Ca Ge N
10 4 12
Direct
0.1207 0.8793 0.7500
0.1706 0.6725 0.9927
0.2589 0.4401 0.2850
0.3275 0.8294 0.5073
0.4401 0.2589 0.7850
0.5599 0.7411 0.2150
0.6725 0.1706 0.4927
0.7411 0.5599 0.7150
0.8294 0.3275 0.0073
0.8793 0.1207 0.2500
0.1526 0.4093 0.5808
0.4093 0.1526 0.0808
0.5907 0.8474 0.9192
0.8474 0.5907 0.4192
0.1260 0.1822 0.6575
0.1822 0.1260 0.1575
0.1862 0.2754 0.4376
0.2754 0.1862 0.9376
0.4072 0.4952 0.6295
0.4952 0.4072 0.1295
0.5048 0.5928 0.8705
0.5928 0.5048 0.3705
0.7246 0.8138 0.0624
0.8138 0.7246 0.5624
0.8178 0.8740 0.8425
0.8740 0.8178 0.3425
```

Largest 6 diffraction maxima, low angle first, 2θ from 10° to 80°:
2θ (°), I (rel.)
17.93, 81
32.00, 100
34.39, 93
35.12, 50
36.37, 100
53.77, 54

---

VHg3: theoretical XRD peak list (Cu Ka), based on the PBE geometry in the Materials Project.
Peak positions follow from Bragg's law for the DFT cell and can differ from measured ones.

Atomic structure:
```
VHg3
1.0
6.2872 0.0000 0.0000
-3.1436 5.4449 0.0000
0.0000 0.0000 4.9173
V Hg
2 6
Direct
0.3333 0.6667 0.2500
0.6667 0.3333 0.7500
0.1712 0.3424 0.7500
0.1712 0.8288 0.7500
0.3424 0.1712 0.2500
0.6576 0.8288 0.7500
0.8288 0.1712 0.2500
0.8288 0.6576 0.2500
```

Largest 6 diffraction maxima, low angle first, 2θ from 10° to 80°:
2θ (°), I (rel.)
32.90, 24
36.55, 24
37.77, 100
58.75, 20
66.60, 19
71.20, 21

---

UAs2Pd: theoretical XRD peak list (Cu Ka), based on the PBE geometry in the Materials Project.
Peak positions follow from Bragg's law for the DFT cell and can differ from measured ones.

Atomic structure:
```
UAs2Pd
1.0
3.9993 0.0000 0.0000
0.0000 3.9993 0.0000
0.0000 0.0000 9.5469
U As Pd
2 4 2
Direct
0.2500 0.2500 0.2357
0.7500 0.7500 0.7643
0.2500 0.2500 0.6894
0.2500 0.7500 0.0000
0.7500 0.2500 0.0000
0.7500 0.7500 0.3106
0.2500 0.7500 0.5000
0.7500 0.2500 0.5000
```

Largest 6 diffraction maxima, low angle first, 2θ from 10° to 80°:
2θ (°), I (rel.)
24.13, 32
36.95, 100
37.69, 18
45.35, 31
60.39, 18
78.19, 23